Structure and simulated X-ray powder pattern of Co13Ni16 (a structure optimized by DFT (GGA-PBE); Cu Kα (λ = 1.5418 Å)).
Intensities are scaled so that the largest is 100.

Main lines, by intensity (10 to 90 degrees two-theta):
44.86 deg, I = 100
49.89 deg, I = 25
82.72 deg, I = 22
54.58 deg, I = 15
52.28 deg, I = 10
42.16 deg, I = 8
78.97 deg, I = 7
84.59 deg, I = 5
77.07 deg, I = 4
86.45 deg, I = 4

Structural model:
```
Co13Ni16
1.0
-4.286 4.286 4.286
4.286 -4.286 4.286
4.286 4.286 -4.286
Co Ni
13 16
direct
0.000 0.000 0.000
0.000 0.189 0.372
0.000 0.372 0.189
0.183 0.811 0.811
0.189 0.000 0.372
0.189 0.372 0.000
0.372 0.000 0.189
0.372 0.189 0.000
0.628 0.628 0.817
0.628 0.817 0.628
0.811 0.183 0.811
0.811 0.811 0.183
0.817 0.628 0.628
0.000 0.000 0.650
0.000 0.399 0.683
0.000 0.650 0.000
0.000 0.683 0.399
0.283 0.601 0.601
0.317 0.317 0.717
0.317 0.717 0.317
0.350 0.350 0.350
0.399 0.000 0.683
0.399 0.683 0.000
0.601 0.283 0.601
0.601 0.601 0.283
0.650 0.000 0.000
0.683 0.000 0.399
0.683 0.399 0.000
0.717 0.317 0.317
```


Structure and simulated X-ray powder pattern of Rb2NbAg2Te4 (a structure optimized by DFT (GGA-PBE); Cu Kα (λ = 1.5418 Å)).
Intensities are scaled so that the largest is 100.

Main lines, by intensity (10 to 90 degrees two-theta):
26.37 deg, I = 100
39.26 deg, I = 44
36.63 deg, I = 40
45.83 deg, I = 32
30.01 deg, I = 31
11.81 deg, I = 24
47.97 deg, I = 19
47.87 deg, I = 18
20.24 deg, I = 18
35.78 deg, I = 17

Structural model:
```
Rb2NbAg2Te4
1.0
3.250 -7.496 0.000
3.250 7.496 0.000
0.000 0.000 6.480
Rb Nb Ag Te
2 1 2 4
direct
0.000 0.500 0.245
0.500 0.000 0.755
0.000 0.000 0.500
0.000 0.000 0.000
0.500 0.500 0.500
0.124 0.345 0.735
0.345 0.124 0.265
0.655 0.876 0.265
0.876 0.655 0.735
```


Structure and simulated X-ray powder pattern of CsAgTe2WS (a structure optimized by DFT (GGA-PBE); Cu Kα (λ = 1.5418 Å)).
Intensities are scaled so that the largest is 100.

Main lines, by intensity (10 to 90 degrees two-theta):
31.62 deg, I = 100
37.67 deg, I = 79
32.81 deg, I = 67
36.31 deg, I = 55
27.38 deg, I = 50
20.52 deg, I = 49
49.74 deg, I = 41
42.73 deg, I = 36
57.29 deg, I = 29
26.90 deg, I = 28

Structural model:
```
CsAgTe2WS
1.0
2.116 -8.929 0.000
2.116 8.929 0.000
0.000 0.000 9.895
Cs Ag Te W S
2 2 4 2 2
direct
0.231 0.769 0.750
0.769 0.231 0.250
0.458 0.542 0.250
0.542 0.458 0.750
0.391 0.609 0.005
0.391 0.609 0.495
0.609 0.391 0.505
0.609 0.391 0.995
0.000 0.000 0.000
0.000 0.000 0.500
0.037 0.963 0.250
0.963 0.037 0.750
```


Structure and simulated X-ray powder pattern of Hf3Sb4Au4 (a structure optimized by DFT (GGA-PBE); Cu Kα (λ = 1.5418 Å)).
Intensities are scaled so that the largest is 100.

Main lines, by intensity (10 to 90 degrees two-theta):
39.71 deg, I = 100
23.91 deg, I = 72
39.21 deg, I = 52
71.40 deg, I = 32
46.45 deg, I = 22
56.66 deg, I = 17
72.41 deg, I = 16
47.32 deg, I = 11
85.58 deg, I = 10
31.58 deg, I = 10

Structural model:
```
Hf3Sb4Au4
1.0
-3.249 3.249 6.344
3.249 -3.249 6.344
3.249 3.249 -6.344
Hf Sb Au
3 4 4
direct
0.000 0.000 0.000
0.250 0.750 0.500
0.750 0.250 0.500
0.000 0.500 0.500
0.243 0.243 0.000
0.500 0.000 0.500
0.757 0.757 0.000
0.152 0.614 0.000
0.386 0.386 0.538
0.614 0.152 0.000
0.848 0.848 0.462
```


Repeat the fourth record exactly.
Structure and simulated X-ray powder pattern of Hf3Sb4Au4 (a structure optimized by DFT (GGA-PBE); Cu Kα (λ = 1.5418 Å)).
Intensities are scaled so that the largest is 100.

Main lines, by intensity (10 to 90 degrees two-theta):
39.71 deg, I = 100
23.91 deg, I = 72
39.21 deg, I = 52
71.40 deg, I = 32
46.45 deg, I = 22
56.66 deg, I = 17
72.41 deg, I = 16
47.32 deg, I = 11
85.58 deg, I = 10
31.58 deg, I = 10

Structural model:
```
Hf3Sb4Au4
1.0
-3.249 3.249 6.344
3.249 -3.249 6.344
3.249 3.249 -6.344
Hf Sb Au
3 4 4
direct
0.000 0.000 0.000
0.250 0.750 0.500
0.750 0.250 0.500
0.000 0.500 0.500
0.243 0.243 0.000
0.500 0.000 0.500
0.757 0.757 0.000
0.152 0.614 0.000
0.386 0.386 0.538
0.614 0.152 0.000
0.848 0.848 0.462
```